LiCoC4O4: calculated XRD peak list (copper Kα), based on a cell relaxed with GGA+U.

Atomic structure:
```
LiCoC4O4
1.0
5.632 0.000 0.000
0.000 5.632 0.000
0.000 0.000 5.632
Li Co C O
1 1 4 4
direct
0.000 0.000 0.000
0.500 0.500 0.500
0.322 0.322 0.322
0.322 0.678 0.678
0.678 0.322 0.678
0.678 0.678 0.322
0.202 0.202 0.202
0.202 0.798 0.798
0.798 0.202 0.798
0.798 0.798 0.202
```

Largest 10 diffraction maxima, by angle, 2θ from 15° to 90°:
two_theta, I/Imax
15.7, 54
22.3, 100
27.4, 71
35.6, 32
39.2, 22
45.6, 31
48.5, 18
54.0, 10
61.6, 24
71.0, 13